Simulated powder diffractogram of MnInO3 for Cu Kα (weighted mean of Kα1 and Kα2), from a cell relaxed with GGA+U.
Neutral-atom scattering factors, no anomalous dispersion.

The 6 most intense peaks (2θ = 15–90°), by intensity:
- (1 1 2), 2.671 Å, rel. 100
- (0 0 4), 2.912 Å, rel. 77
- (3 0 0), 1.735 Å, rel. 43
- (1 1 0), 3.005 Å, rel. 39
- (1 1 4), 2.092 Å, rel. 37
- (0 3 4), 1.490 Å, rel. 33

Structure:
```
data_MnInO3
_space_group_name_H-M_alt 'P -3 c 1'
_space_group_IT_number 165
_space_group_name_Hall '-P 3 2"c'
_cell_length_a 6.0091
_cell_length_b 6.0091
_cell_length_c 11.6549
_cell_angle_alpha 90.00
_cell_angle_beta 90.00
_cell_angle_gamma 120.00
loop_
_atom_site_label
_atom_site_fract_x
_atom_site_fract_y
_atom_site_fract_z
Mn1 0.0000 0.3312 0.2500
In1 0.0000 0.0000 0.0000
In2 0.3333 0.6667 0.0187
O1 0.0000 0.0000 0.2500
O2 0.0250 0.3447 0.4155
O3 0.3333 0.6667 0.2272
```